[1]
Structure and computed XRD peak list of Ni4Pt2Rh (a PBE-relaxed structure; CuKα).

Cell and atoms:
```
Ni4Pt2Rh
1.0
-2.322 2.322 4.677
2.322 -2.322 4.677
2.322 2.322 -4.677
Ni Pt Rh
4 2 1
direct
0.000 0.500 0.500 Ni
0.250 0.750 0.500 Ni
0.500 0.000 0.500 Ni
0.750 0.250 0.500 Ni
0.143 0.143 0.000 Pt
0.857 0.857 0.000 Pt
0.500 0.500 0.000 Rh
```

Peak list (6 most intense, 2θ = 10–90°, low angle first)
| 2theta | I_rel |
| --- | --- |
| 21.4 | 27.8 |
| 34.7 | 98.0 |
| 38.8 | 100.0 |
| 47.7 | 49.0 |
| 53.0 | 59.0 |
| 56.0 | 33.7 |

[2]
Structure and computed XRD peak list of Ni5PtRh6 (a PBE-relaxed structure; CuKα).

Cell and atoms:
```
Ni5PtRh6
1.0
1.886 -5.658 0.000
1.886 5.658 0.000
0.000 0.000 7.371
Ni Pt Rh
5 1 6
direct
0.000 0.000 0.000 Ni
0.330 0.670 0.500 Ni
0.333 0.667 0.000 Ni
0.667 0.333 0.000 Ni
0.670 0.330 0.500 Ni
0.000 0.000 0.500 Pt
0.168 0.832 0.244 Rh
0.168 0.832 0.756 Rh
0.500 0.500 0.241 Rh
0.500 0.500 0.759 Rh
0.832 0.168 0.244 Rh
0.832 0.168 0.756 Rh
```

Peak list (6 most intense, 2θ = 10–90°, low angle first)
| 2theta | I_rel |
| --- | --- |
| 41.8 | 100.0 |
| 48.3 | 32.8 |
| 49.5 | 15.0 |
| 71.6 | 19.0 |
| 85.6 | 24.0 |
| 87.4 | 11.1 |

Repeat the first record exactly.
Structure and computed XRD peak list of Ni4Pt2Rh (a PBE-relaxed structure; CuKα).

Cell and atoms:
```
Ni4Pt2Rh
1.0
-2.322 2.322 4.677
2.322 -2.322 4.677
2.322 2.322 -4.677
Ni Pt Rh
4 2 1
direct
0.000 0.500 0.500 Ni
0.250 0.750 0.500 Ni
0.500 0.000 0.500 Ni
0.750 0.250 0.500 Ni
0.143 0.143 0.000 Pt
0.857 0.857 0.000 Pt
0.500 0.500 0.000 Rh
```

Peak list (6 most intense, 2θ = 10–90°, low angle first)
| 2theta | I_rel |
| --- | --- |
| 21.4 | 27.8 |
| 34.7 | 98.0 |
| 38.8 | 100.0 |
| 47.7 | 49.0 |
| 53.0 | 59.0 |
| 56.0 | 33.7 |